Structure and simulated powder X-ray diffraction pattern of NaYUS4 (a DFT-relaxed cell (PBE, Alexandria); Cu Kα (λ = 1.5418 Å)).

Main lines, low angle first (2θ from 10° to 90°):
d_spacing, I/Imax
6.675, 16.5
6.620, 100.0
3.489, 48.7
3.460, 37.9
2.884, 47.2
2.867, 23.3
2.215, 20.7
2.207, 17.4
2.033, 40.9
1.944, 18.1

Crystal structure
abc: 8.134 8.134 8.134
angles: 120.21 119.38 90.36
Fractional positions:
Na1 0.380 0.130 0.250
Na2 0.620 0.870 0.750
Y1 0.000 0.000 0.500
Y2 0.000 0.500 0.000
U1 0.000 0.500 0.500
U2 0.500 0.500 0.000
S1 0.210 0.734 0.476
S2 0.240 0.270 0.529
S3 0.240 0.711 0.971
S4 0.242 0.266 0.976
S5 0.758 0.734 0.024
S6 0.760 0.289 0.029
S7 0.760 0.730 0.471
S8 0.790 0.266 0.524